The following is a theoretical powder XRD pattern of Li9Mn2Co5O16. It was derived from the GGA+U geometry in the Materials Project, using Cu Ka.
Peak positions follow from Bragg's law for the DFT cell and can differ from measured ones.

Crystal structure
Unit cell a=3.018 b=8.055 c=12.017 alpha=90.65 beta=95.09 gamma=90.91
Space group P1 (No. 1)
Unique sites:
Li 0.000 0.000 0.000 x1
Li 0.000 0.002 0.498 x1
Li 0.000 0.500 0.000 x1
Li 0.004 0.501 0.248 x1
Li 0.499 0.248 0.626 x1
Li 0.499 0.253 0.121 x1
Li 0.501 0.746 0.878 x1
Li 0.501 0.752 0.372 x1
Li 0.996 0.496 0.751 x1
Mn 0.501 0.752 0.627 x1
Mn 0.999 0.497 0.497 x1
Co 0.000 0.997 0.248 x1
Co 0.497 0.247 0.372 x1
Co 0.497 0.259 0.880 x1
Co 0.504 0.741 0.118 x1
Co 0.999 0.004 0.752 x1
O 0.022 0.752 0.009 x1
O 0.023 0.238 0.758 x1
O 0.024 0.235 0.254 x1
O 0.027 0.742 0.503 x1
O 0.473 0.011 0.366 x1
O 0.473 0.508 0.621 x1
O 0.478 0.021 0.867 x1
O 0.497 0.525 0.128 x1
O 0.504 0.475 0.872 x1
O 0.522 0.486 0.376 x1
O 0.524 0.979 0.132 x1
O 0.525 0.994 0.632 x1
O 0.973 0.763 0.242 x1
O 0.974 0.255 0.492 x1
O 0.978 0.763 0.749 x1
O 0.980 0.248 0.990 x1

The 10 most intense peaks (2θ = 15–90°), by angle:
hkl 0 1 -2, 18.36 deg, I = 100; hkl -1 1 2, 33.93 deg, I = 21; hkl 1 1 2, 36.59 deg, I = 12; hkl 0 3 2, 36.87 deg, I = 11; hkl 1 0 -4, 40.61 deg, I = 36; hkl 1 0 4, 44.58 deg, I = 26; hkl 0 4 0, 45.03 deg, I = 24; hkl 2 0 0, 61.72 deg, I = 9; hkl 0 0 8, 62.08 deg, I = 16; hkl 1 4 -4, 62.33 deg, I = 8